Theoretical powder X-ray diffraction pattern of CeCr2O10 for a wavelength of 1.5418 Å, from a structure optimized by DFT (PBE+U).

Top 10 peaks for 10° ≤ 2θ ≤ 80°, by angle:
| h k l | d/Å | I (rel.) |
| --- | --- | --- |
| 0 0 1 | 6.781 | 994 |
| 0 1 1 | 5.758 | 543 |
| 1 1 0 | 5.183 | 708 |
| 0 2 1 | 4.248 | 1000 |
| 1 1 -1 | 4.158 | 656 |
| 1 1 1 | 4.080 | 467 |
| 1 2 -1 | 3.469 | 726 |
| 1 3 0 | 3.093 | 834 |
| 2 0 0 | 2.946 | 491 |
| 0 2 2 | 2.879 | 608 |

Atomic structure:
```
data_CeCr2O10
_space_group_name_H-M_alt 'P 1'
_space_group_IT_number 1
_cell_length_a 5.8933
_cell_length_b 10.9012
_cell_length_c 6.7829
_cell_angle_alpha 90.00
_cell_angle_beta 91.28
_cell_angle_gamma 90.00
loop_
_space_group_symop_operation_xyz
'x,y,z'
loop_
_atom_site_label
_atom_site_fract_x
_atom_site_fract_y
_atom_site_fract_z
Ce1 0.2290 0.2500 0.0337
Ce2 0.7710 0.7500 0.9663
Cr1 0.2651 0.5457 0.7354
Cr2 0.2651 0.9543 0.7354
Cr3 0.7349 0.0457 0.2646
Cr4 0.7349 0.4543 0.2646
O1 0.0434 0.6167 0.8461
O2 0.0434 0.8833 0.8461
O3 0.1558 0.7500 0.0806
O4 0.2370 0.5609 0.5021
O5 0.2370 0.9391 0.5021
O6 0.2674 0.1040 0.7952
O7 0.2674 0.3960 0.7952
O8 0.3188 0.2500 0.3747
O9 0.4899 0.1123 0.1855
O10 0.4899 0.3877 0.1855
O11 0.5101 0.6123 0.8145
O12 0.5101 0.8877 0.8145
O13 0.6812 0.7500 0.6253
O14 0.7326 0.6040 0.2048
O15 0.7326 0.8960 0.2048
O16 0.7630 0.0609 0.4979
O17 0.7630 0.4391 0.4979
O18 0.8442 0.2500 0.9194
O19 0.9566 0.1167 0.1539
O20 0.9566 0.3833 0.1539
```